Starting from a DFT-relaxed cell (PBE+U, Alexandria), the X-ray powder pattern of BaSrGdCrO6 was simulated for CuKα.
No peak broadening, texture or thermal motion is included.

Largest 6 diffraction maxima, sorted by position, 5° ≤ 2θ ≤ 70°:
- 2θ = 18.49°, 4.798 Å, intensity 13, (1 1 1)
- 2θ = 30.42°, 2.938 Å, intensity 100, (2 2 0)
- 2θ = 35.84°, 2.506 Å, intensity 11, (3 1 1)
- 2θ = 43.56°, 2.078 Å, intensity 31, (4 0 0)
- 2θ = 54.06°, 1.696 Å, intensity 39, (4 2 2)
- 2θ = 63.30°, 1.469 Å, intensity 19, (4 4 0)

Crystal structure
```
data_BaSrGdCrO6
_chemical_formula_sum 'Ba4 Sr4 Gd4 Cr4 O24'
_symmetry_space_group_name_H-M 'F -4 3 m'
_symmetry_Int_Tables_number 216
_symmetry_space_group_name_Hall 'F -4 2 3'
_cell_length_a 8.310
_cell_length_b 8.310
_cell_length_c 8.310
_cell_angle_alpha 90.00
_cell_angle_beta 90.00
_cell_angle_gamma 90.00
loop_
_atom_site_label
_atom_site_type_symbol
_atom_site_fract_x
_atom_site_fract_y
_atom_site_fract_z
Ba1 Ba 0.000 0.000 0.000
Sr1 Sr 0.000 0.000 0.500
Gd1 Gd 0.250 0.250 0.750
Cr1 Cr 0.250 0.250 0.250
O1 O 0.021 0.250 0.250
```